Entry 1:
Structure and simulated XRD peak list of PrNd7Y3 (DFT lattice parameters and positions (PBE); CuKα).
No peak broadening, texture or thermal motion is included.

Crystal structure
Lattice parameters (Å, degrees): 7.260 7.260 8.767 90.00 90.00 120.00
Positions (direct):
1 Pr 0.000 0.000 0.000
2 Nd 0.166 0.333 0.331
3 Nd 0.166 0.834 0.331
4 Nd 0.500 0.001 0.984
5 Nd 0.500 0.500 0.984
6 Nd 0.667 0.333 0.315
7 Nd 0.667 0.834 0.331
8 Nd 0.999 0.500 0.984
9 Y 0.334 0.167 0.657
10 Y 0.833 0.167 0.657
11 Y 0.833 0.666 0.657

Peak list (12 most intense, 10° ≤ 2θ ≤ 80°, in order of rising 2θ)
- d 8.767, 2θ 10.09, I 15
- d 3.144, 2θ 28.39, I 5
- d 2.959, 2θ 30.20, I 100
- d 2.922, 2θ 30.59, I 30
- d 2.555, 2θ 35.13, I 65
- d 1.815, 2θ 50.27, I 23
- d 1.798, 2θ 50.78, I 23
- d 1.547, 2θ 59.77, I 14
- d 1.542, 2θ 60.00, I 26
- d 1.531, 2θ 60.45, I 13
- d 1.480, 2θ 62.80, I 12
- d 1.277, 2θ 74.25, I 7



Entry 2:
Structure and simulated XRD peak list of Sm2Tm3Te8 (DFT lattice parameters and positions (PBE); CuKα).
No peak broadening, texture or thermal motion is included.

Crystal structure
Lattice parameters (Å, degrees): 8.827 8.827 7.496 106.06 106.06 58.94
Positions (direct):
1 Sm 0.249 0.249 0.170
2 Sm 0.751 0.751 0.830
3 Tm 0.243 0.757 0.500
4 Tm 0.500 0.500 0.000
5 Tm 0.757 0.243 0.500
6 Te 0.118 0.118 0.410
7 Te 0.134 0.629 0.089
8 Te 0.371 0.866 0.911
9 Te 0.382 0.382 0.588
10 Te 0.618 0.618 0.412
11 Te 0.629 0.134 0.089
12 Te 0.866 0.371 0.911
13 Te 0.882 0.882 0.590

Peak list (12 most intense, 10° ≤ 2θ ≤ 80°, in order of rising 2θ)
- d 4.773, 2θ 18.59, I 30
- d 4.188, 2θ 21.22, I 21
- d 3.730, 2θ 23.85, I 17
- d 3.550, 2θ 25.08, I 70
- d 2.856, 2θ 31.32, I 52
- d 2.844, 2θ 31.45, I 100
- d 2.406, 2θ 37.37, I 49
- d 2.390, 2θ 37.63, I 25
- d 2.171, 2θ 41.59, I 30
- d 2.166, 2θ 41.71, I 60
- d 1.728, 2θ 52.98, I 24
- d 1.351, 2θ 69.59, I 20



Entry 3:
Structure and simulated XRD peak list of V2AgN3 (DFT lattice parameters and positions (PBE); CuKα).
No peak broadening, texture or thermal motion is included.

Crystal structure
Lattice parameters (Å, degrees): 2.950 2.950 26.217 90.00 90.00 120.00
Positions (direct):
1 V 0.055 0.289 0.453
2 V 0.234 0.945 0.120
3 V 0.289 0.055 0.547
4 V 0.711 0.766 0.786
5 V 0.766 0.711 0.214
6 V 0.945 0.234 0.880
7 Ag 0.000 0.362 0.667
8 Ag 0.362 0.000 0.333
9 Ag 0.638 0.638 0.000
10 N 0.000 0.327 0.167
11 N 0.010 0.366 0.748
12 N 0.327 0.000 0.833
13 N 0.356 0.990 0.415
14 N 0.366 0.010 0.252
15 N 0.634 0.644 0.082
16 N 0.644 0.634 0.918
17 N 0.673 0.673 0.500
18 N 0.990 0.356 0.585

Peak list (12 most intense, 10° ≤ 2θ ≤ 80°, in order of rising 2θ)
- d 8.739, 2θ 10.12, I 23
- d 4.369, 2θ 20.32, I 34
- d 2.913, 2θ 30.69, I 73
- d 2.542, 2θ 35.30, I 88
- d 2.507, 2θ 35.81, I 21
- d 2.380, 2θ 37.80, I 100
- d 2.296, 2θ 39.23, I 80
- d 1.830, 2θ 49.84, I 57
- d 1.583, 2θ 58.29, I 18
- d 1.510, 2θ 61.39, I 40
- d 1.475, 2θ 63.03, I 32
- d 1.316, 2θ 71.73, I 25



Entry 4:
Structure and simulated XRD peak list of Nd2SmDy4Ho (DFT lattice parameters and positions (PBE); CuKα).
No peak broadening, texture or thermal motion is included.

Crystal structure
Lattice parameters (Å, degrees): 9.535 9.535 6.831 110.98 110.98 88.33
Positions (direct):
1 Nd 0.000 0.000 0.000
2 Nd 0.000 0.000 0.500
3 Nd 0.000 0.500 0.000
4 Nd 0.500 0.000 0.500
5 Sm 0.000 0.500 0.500
6 Sm 0.500 0.000 0.000
7 Dy 0.253 0.254 0.506
8 Dy 0.254 0.253 0.006
9 Dy 0.254 0.745 0.999
10 Dy 0.255 0.746 0.501
11 Dy 0.745 0.254 0.499
12 Dy 0.746 0.255 0.001
13 Dy 0.746 0.747 0.994
14 Dy 0.747 0.746 0.494
15 Ho 0.500 0.500 0.000
16 Ho 0.500 0.500 0.500

Peak list (12 most intense, 10° ≤ 2θ ≤ 80°, in order of rising 2θ)
- d 3.322, 2θ 26.84, I 45
- d 2.960, 2θ 30.19, I 100
- d 2.210, 2θ 40.83, I 88
- d 1.710, 2θ 53.60, I 13
- d 1.708, 2θ 53.67, I 7
- d 1.661, 2θ 55.31, I 6
- d 1.520, 2θ 60.96, I 27
- d 1.481, 2θ 62.72, I 4
- d 1.480, 2θ 62.80, I 8
- d 1.448, 2θ 64.31, I 23
- d 1.353, 2θ 69.47, I 6
- d 1.352, 2θ 69.55, I 12



Entry 5:
Structure and simulated XRD peak list of La2PmIr2 (DFT lattice parameters and positions (PBE); CuKα).
No peak broadening, texture or thermal motion is included.

Crystal structure
Lattice parameters (Å, degrees): 7.899 7.899 7.453 90.00 90.00 144.29
Positions (direct):
1 La 0.073 0.927 0.500
2 La 0.245 0.755 0.158
3 La 0.755 0.245 0.658
4 La 0.927 0.073 0.000
5 Pm 0.424 0.576 0.466
6 Pm 0.576 0.424 0.966
7 Ir 0.161 0.839 0.829
8 Ir 0.356 0.644 0.831
9 Ir 0.644 0.356 0.331
10 Ir 0.839 0.161 0.329

Peak list (12 most intense, 10° ≤ 2θ ≤ 80°, in order of rising 2θ)
- d 3.921, 2θ 22.68, I 22
- d 3.339, 2θ 26.70, I 22
- d 3.156, 2θ 28.28, I 55
- d 2.647, 2θ 33.87, I 21
- d 2.419, 2θ 37.17, I 100
- d 2.187, 2θ 41.28, I 52
- d 2.080, 2θ 43.52, I 17
- d 1.787, 2θ 51.12, I 13
- d 1.578, 2θ 58.50, I 15
- d 1.545, 2θ 59.86, I 12
- d 1.397, 2θ 66.97, I 12
- d 1.348, 2θ 69.75, I 11



Entry 6:
Structure and simulated XRD peak list of Er2PuAu3 (DFT lattice parameters and positions (PBE); CuKα).
No peak broadening, texture or thermal motion is included.

Crystal structure
Lattice parameters (Å, degrees): 3.557 3.557 10.970 90.00 90.00 90.00
Positions (direct):
1 Er 0.000 0.000 0.164
2 Er 0.000 0.000 0.836
3 Pu 0.000 0.000 0.500
4 Au 0.500 0.500 0.000
5 Au 0.500 0.500 0.316
6 Au 0.500 0.500 0.684

Peak list (12 most intense, 10° ≤ 2θ ≤ 80°, in order of rising 2θ)
- d 3.383, 2θ 26.34, I 2
- d 2.984, 2θ 29.94, I 2
- d 2.550, 2θ 35.20, I 100
- d 2.515, 2θ 35.70, I 50
- d 1.854, 2θ 49.15, I 1
- d 1.828, 2θ 49.88, I 8
- d 1.778, 2θ 51.38, I 18
- d 1.479, 2θ 62.84, I 17
- d 1.459, 2θ 63.81, I 36
- d 1.434, 2θ 65.03, I 1
- d 1.275, 2θ 74.42, I 11
- d 1.258, 2θ 75.62, I 6



Entry 7:
Structure and simulated XRD peak list of TbNpSi (DFT lattice parameters and positions (PBE); CuKα).
No peak broadening, texture or thermal motion is included.

Crystal structure
Lattice parameters (Å, degrees): 3.050 11.639 7.770 90.00 90.00 90.00
Positions (direct):
1 Tb 0.000 0.173 0.000
2 Tb 0.000 0.296 0.609
3 Tb 0.000 0.704 0.109
4 Tb 0.000 0.827 0.500
5 Np 0.000 0.098 0.376
6 Np 0.000 0.460 0.964
7 Np 0.000 0.540 0.464
8 Np 0.000 0.902 0.876
9 Si 0.500 0.075 0.692
10 Si 0.500 0.329 0.267
11 Si 0.500 0.671 0.767
12 Si 0.500 0.925 0.192

Peak list (12 most intense, 10° ≤ 2θ ≤ 80°, in order of rising 2θ)
- d 4.658, 2θ 19.05, I 41
- d 3.884, 2θ 22.90, I 71
- d 3.231, 2θ 27.61, I 37
- d 3.050, 2θ 29.28, I 100
- d 2.745, 2θ 32.62, I 48
- d 2.725, 2θ 32.87, I 94
- d 2.552, 2θ 35.17, I 39
- d 2.528, 2θ 35.51, I 33
- d 2.399, 2θ 37.49, I 66
- d 2.218, 2θ 40.68, I 32
- d 2.040, 2θ 44.40, I 33
- d 2.032, 2θ 44.59, I 75



Entry 8:
Structure and simulated XRD peak list of LiNb (DFT lattice parameters and positions (PBE); CuKα).
No peak broadening, texture or thermal motion is included.

Crystal structure
Lattice parameters (Å, degrees): 11.609 10.531 5.238 88.14 65.05 26.80
Positions (direct):
1 Li 0.002 0.748 0.002
2 Li 0.252 0.998 0.252
3 Li 0.748 0.002 0.748
4 Li 0.998 0.252 0.998
5 Nb 0.253 0.253 0.497
6 Nb 0.497 0.497 0.253
7 Nb 0.503 0.503 0.747
8 Nb 0.747 0.747 0.503

Peak list (12 most intense, 10° ≤ 2θ ≤ 80°, in order of rising 2θ)
- d 5.223, 2θ 16.98, I 100
- d 2.612, 2θ 34.34, I 21
- d 2.565, 2θ 34.98, I 17
- d 2.532, 2θ 35.45, I 16
- d 2.423, 2θ 37.10, I 15
- d 2.279, 2θ 39.55, I 28
- d 2.198, 2θ 41.06, I 15
- d 2.085, 2θ 43.39, I 11
- d 2.007, 2θ 45.18, I 7
- d 1.873, 2θ 48.60, I 7
- d 1.818, 2θ 50.18, I 11
- d 1.255, 2θ 75.83, I 7



Entry 9:
Structure and simulated XRD peak list of Y4Sn2Te (DFT lattice parameters and positions (PBE); CuKα).
No peak broadening, texture or thermal motion is included.

Crystal structure
Lattice parameters (Å, degrees): 6.204 6.526 10.178 90.00 98.94 90.00
Positions (direct):
1 Y 0.030 0.250 0.164
2 Y 0.138 0.750 0.453
3 Y 0.433 0.005 0.732
4 Y 0.433 0.495 0.732
5 Y 0.567 0.505 0.268
6 Y 0.567 0.995 0.268
7 Y 0.862 0.250 0.547
8 Y 0.970 0.750 0.836
9 Sn 0.312 0.250 0.458
10 Sn 0.493 0.250 0.010
11 Sn 0.507 0.750 0.990
12 Sn 0.688 0.750 0.542
13 Te 0.049 0.750 0.158
14 Te 0.951 0.250 0.842

Peak list (12 most intense, 10° ≤ 2θ ≤ 80°, in order of rising 2θ)
- d 3.263, 2θ 27.33, I 41
- d 3.066, 2θ 29.12, I 100
- d 2.880, 2θ 31.05, I 31
- d 2.774, 2θ 32.27, I 31
- d 2.765, 2θ 32.38, I 69
- d 2.737, 2θ 32.72, I 56
- d 2.583, 2θ 34.74, I 72
- d 2.464, 2θ 36.47, I 57
- d 2.424, 2θ 37.09, I 24
- d 2.131, 2θ 42.43, I 32
- d 1.631, 2θ 56.41, I 25
- d 1.440, 2θ 64.72, I 22



Entry 10:
Structure and simulated XRD peak list of MgGe2Br8 (DFT lattice parameters and positions (PBE); CuKα).
No peak broadening, texture or thermal motion is included.

Crystal structure
Lattice parameters (Å, degrees): 8.512 8.512 6.486 98.61 98.61 81.03
Positions (direct):
1 Mg 0.000 0.000 0.000
2 Ge 0.208 0.208 0.704
3 Ge 0.792 0.792 0.296
4 Br 0.074 0.740 0.201
5 Br 0.183 0.183 0.309
6 Br 0.260 0.926 0.799
7 Br 0.398 0.398 0.890
8 Br 0.602 0.602 0.110
9 Br 0.740 0.074 0.201
10 Br 0.817 0.817 0.691
11 Br 0.926 0.260 0.799

Peak list (12 most intense, 10° ≤ 2θ ≤ 80°, in order of rising 2θ)
- d 8.337, 2θ 10.61, I 74
- d 5.530, 2θ 16.03, I 90
- d 5.404, 2θ 16.40, I 69
- d 4.169, 2θ 21.31, I 43
- d 4.105, 2θ 21.65, I 41
- d 3.714, 2θ 23.96, I 100
- d 3.177, 2θ 28.08, I 58
- d 3.108, 2θ 28.72, I 94
- d 2.702, 2θ 33.15, I 61
- d 2.677, 2θ 33.48, I 48
- d 2.280, 2θ 39.52, I 45
- d 2.090, 2θ 43.28, I 79



Entry 11:
Structure and simulated XRD peak list of TbDy5Rh6 (DFT lattice parameters and positions (PBE); CuKα).
No peak broadening, texture or thermal motion is included.

Crystal structure
Lattice parameters (Å, degrees): 7.662 7.662 6.867 90.00 90.00 143.16
Positions (direct):
1 Tb 0.000 0.000 0.000
2 Dy 0.000 0.000 0.500
3 Dy 0.333 0.667 0.000
4 Dy 0.333 0.667 0.500
5 Dy 0.667 0.333 0.000
6 Dy 0.667 0.333 0.500
7 Rh 0.167 0.833 0.250
8 Rh 0.167 0.833 0.750
9 Rh 0.500 0.500 0.251
10 Rh 0.500 0.500 0.749
11 Rh 0.833 0.167 0.250
12 Rh 0.833 0.167 0.750

Peak list (11 most intense, 10° ≤ 2θ ≤ 80°, in order of rising 2θ)
- d 3.428, 2θ 25.99, I 5
- d 2.424, 2θ 37.09, I 100
- d 1.979, 2θ 45.85, I 2
- d 1.717, 2θ 53.36, I 6
- d 1.713, 2θ 53.50, I 12
- d 1.534, 2θ 60.35, I 1
- d 1.532, 2θ 60.43, I 1
- d 1.400, 2θ 66.82, I 24
- d 1.399, 2θ 66.91, I 12
- d 1.212, 2θ 78.97, I 9
- d 1.210, 2θ 79.12, I 2



Entry 12:
Structure and simulated XRD peak list of Rb2CdHg2 (DFT lattice parameters and positions (PBE); CuKα).
No peak broadening, texture or thermal motion is included.

Crystal structure
Lattice parameters (Å, degrees): 8.328 8.328 5.629 90.00 90.00 90.00
Positions (direct):
1 Rb 0.177 0.323 0.000
2 Rb 0.323 0.823 0.000
3 Rb 0.677 0.177 0.000
4 Rb 0.823 0.677 0.000
5 Cd 0.000 0.000 0.500
6 Cd 0.500 0.500 0.500
7 Hg 0.133 0.633 0.500
8 Hg 0.367 0.133 0.500
9 Hg 0.633 0.867 0.500
10 Hg 0.867 0.367 0.500

Peak list (12 most intense, 10° ≤ 2θ ≤ 80°, in order of rising 2θ)
- d 5.629, 2θ 15.74, I 33
- d 3.725, 2θ 23.89, I 13
- d 3.348, 2θ 26.63, I 12
- d 3.106, 2θ 28.74, I 100
- d 2.814, 2θ 31.79, I 26
- d 2.634, 2θ 34.04, I 30
- d 2.385, 2θ 37.71, I 18
- d 2.310, 2θ 38.99, I 9
- d 2.137, 2θ 42.29, I 9
- d 1.923, 2θ 47.27, I 24
- d 1.675, 2θ 54.80, I 22
- d 1.491, 2θ 62.26, I 12